Record 1
Computed powder X-ray diffraction pattern of As2ClO for Cu Ka, from a PBE-relaxed structure.
No peak broadening, texture or thermal motion is included.

The 6 most intense peaks (10 to 90 degrees two-theta), by angle:
- 2θ = 19.67°, 4.514 Å, rel. 37
- 2θ = 26.56°, 3.356 Å, rel. 48
- 2θ = 29.36°, 3.042 Å, rel. 100
- 2θ = 42.95°, 2.106 Å, rel. 56
- 2θ = 45.90°, 1.977 Å, rel. 30
- 2θ = 46.78°, 1.942 Å, rel. 31

Crystal structure
a b c (Å): 4.7614 4.7614 14.1929
angles (deg): 90.00 90.00 90.00
Space group I-42d (No. 122)
Unique sites:
As 0.1171 0.2500 0.1250 (multiplicity 8)
Cl 0.0000 0.0000 0.5000 (multiplicity 4)
O 0.0000 0.0000 0.0000 (multiplicity 4)


Record 2
Computed powder X-ray diffraction pattern of As3P3Pb10Cl2O24 for Cu Ka, from a PBE-relaxed structure.
No peak broadening, texture or thermal motion is included.

The 6 most intense peaks (10 to 90 degrees two-theta), by angle:
- 2θ = 26.23°, 3.397 Å, rel. 35
- 2θ = 28.92°, 3.087 Å, rel. 100
- 2θ = 29.66°, 3.012 Å, rel. 100
- 2θ = 29.82°, 2.996 Å, rel. 54
- 2θ = 42.56°, 2.124 Å, rel. 36
- 2θ = 45.45°, 1.996 Å, rel. 31

Crystal structure
a b c (Å): 10.3793 10.3793 7.3972
angles (deg): 90.00 90.00 120.00
Space group P-6 (No. 174)
Unique sites:
As 0.0745 0.7111 0.0000 (multiplicity 3)
P 0.0514 0.3022 0.5000 (multiplicity 3)
Pb 0.0000 0.0000 0.2488 (multiplicity 2)
Pb 0.3333 0.6667 0.2605 (multiplicity 2)
Pb 0.4053 0.3059 0.5000 (multiplicity 3)
Pb 0.4231 0.0740 0.0000 (multiplicity 3)
Cl 0.6667 0.3333 0.2489 (multiplicity 2)
O 0.0015 0.8272 0.0000 (multiplicity 3)
O 0.0223 0.5942 0.1850 (multiplicity 6)
O 0.0748 0.8594 0.5000 (multiplicity 3)
O 0.1604 0.4721 0.5000 (multiplicity 3)
O 0.1912 0.4597 0.0000 (multiplicity 3)
O 0.3009 0.0524 0.3302 (multiplicity 6)


Record 3
Computed powder X-ray diffraction pattern of As3Pb2ClO6 for Cu Ka, from a PBE-relaxed structure.
No peak broadening, texture or thermal motion is included.

The 6 most intense peaks (10 to 90 degrees two-theta), by angle:
- 2θ = 11.33°, 7.812 Å, rel. 85
- 2θ = 26.98°, 3.304 Å, rel. 100
- 2θ = 29.57°, 3.021 Å, rel. 65
- 2θ = 30.68°, 2.914 Å, rel. 61
- 2θ = 31.38°, 2.850 Å, rel. 60
- 2θ = 32.79°, 2.731 Å, rel. 50

Crystal structure
a b c (Å): 20.0496 5.4622 8.4829
angles (deg): 90.00 90.00 90.00
Space group Pnma (No. 62)
Unique sites:
As 0.0456 0.2500 0.2003 (multiplicity 4)
As 0.1646 0.7500 0.7725 (multiplicity 4)
As 0.1749 0.2500 0.9678 (multiplicity 4)
Pb 0.0574 0.2500 0.6139 (multiplicity 4)
Pb 0.1433 0.7500 0.3614 (multiplicity 4)
Cl 0.2092 0.2500 0.5530 (multiplicity 4)
O 0.0490 0.0092 0.3442 (multiplicity 8)
O 0.1038 0.7500 0.6199 (multiplicity 4)
O 0.1232 0.0031 0.8856 (multiplicity 8)
O 0.1381 0.2500 0.1623 (multiplicity 4)


Record 4
Computed powder X-ray diffraction pattern of AsPb2Cl2O4 for Cu Ka, from a PBE-relaxed structure.
No peak broadening, texture or thermal motion is included.

The 6 most intense peaks (10 to 90 degrees two-theta), by angle:
- 2θ = 20.48°, 4.336 Å, rel. 40
- 2θ = 29.12°, 3.066 Å, rel. 72
- 2θ = 29.94°, 2.985 Å, rel. 100
- 2θ = 36.55°, 2.459 Å, rel. 63
- 2θ = 41.66°, 2.168 Å, rel. 40
- 2θ = 52.14°, 1.754 Å, rel. 42

Crystal structure
a b c (Å): 6.1326 6.1326 8.2280
angles (deg): 90.00 90.00 90.00
Space group I4/mmm (No. 139)
Unique sites:
As 0.0000 0.0000 0.0000 (multiplicity 2)
Pb 0.0000 0.5000 0.2500 (multiplicity 4)
Cl 0.0000 0.0000 0.2991 (multiplicity 4)
O 0.2058 0.2058 0.0000 (multiplicity 8)


Record 5
Computed powder X-ray diffraction pattern of AsPb2ClO4 for Cu Ka, from a PBE-relaxed structure.
No peak broadening, texture or thermal motion is included.

The 6 most intense peaks (10 to 90 degrees two-theta), by angle:
- 2θ = 17.87°, 4.963 Å, rel. 100
- 2θ = 19.13°, 4.640 Å, rel. 64
- 2θ = 24.50°, 3.634 Å, rel. 78
- 2θ = 33.27°, 2.693 Å, rel. 66
- 2θ = 36.19°, 2.482 Å, rel. 51
- 2θ = 40.56°, 2.224 Å, rel. 53

Crystal structure
a b c (Å): 10.0107 3.2042 10.0262
angles (deg): 90.00 112.20 90.00
Space group C2/m (No. 12)
Unique sites:
As 0.0000 0.0000 0.0000 (multiplicity 2)
Pb 0.1306 0.5000 0.7712 (multiplicity 4)
Cl 0.0000 0.0000 0.5000 (multiplicity 2)
O 0.0247 0.0000 0.1865 (multiplicity 4)
O 0.1345 0.5000 0.0309 (multiplicity 4)


Record 6
Computed powder X-ray diffraction pattern of Pr5As2ClO10 for Cu Ka, from a PBE-relaxed structure.
No peak broadening, texture or thermal motion is included.

The 6 most intense peaks (10 to 90 degrees two-theta), by angle:
- 2θ = 26.20°, 3.402 Å, rel. 28
- 2θ = 28.51°, 3.131 Å, rel. 100
- 2θ = 30.38°, 2.943 Å, rel. 99
- 2θ = 30.93°, 2.891 Å, rel. 40
- 2θ = 44.83°, 2.022 Å, rel. 38
- 2θ = 54.68°, 1.679 Å, rel. 34

Crystal structure
a b c (Å): 12.6198 5.7829 9.2031
angles (deg): 90.00 116.31 90.00
Space group C2/m (No. 12)
Unique sites:
Pr 0.0000 0.0000 0.0000 (multiplicity 2)
Pr 0.0002 0.5000 0.2930 (multiplicity 4)
Pr 0.2464 0.5000 0.1279 (multiplicity 4)
As 0.2148 0.0000 0.3914 (multiplicity 4)
Cl 0.0000 0.0000 0.5000 (multiplicity 2)
O 0.1202 0.2538 0.9153 (multiplicity 8)
O 0.1404 0.5000 0.6002 (multiplicity 4)
O 0.1420 0.2343 0.2469 (multiplicity 8)


Record 7
Computed powder X-ray diffraction pattern of ThAsClO4 for Cu Ka, from a PBE-relaxed structure.
No peak broadening, texture or thermal motion is included.

The 6 most intense peaks (10 to 90 degrees two-theta), by angle:
- 2θ = 13.34°, 6.638 Å, rel. 67
- 2θ = 17.93°, 4.947 Å, rel. 81
- 2θ = 18.55°, 4.783 Å, rel. 46
- 2θ = 24.48°, 3.636 Å, rel. 100
- 2θ = 28.74°, 3.106 Å, rel. 61
- 2θ = 29.52°, 3.026 Å, rel. 64

Crystal structure
a b c (Å): 10.2659 7.2713 6.8875
angles (deg): 90.00 105.46 90.00
Space group C2/m (No. 12)
Unique sites:
Th 0.2354 0.0000 0.1407 (multiplicity 4)
As 0.1374 0.5000 0.2686 (multiplicity 4)
Cl 0.0190 0.0000 0.7709 (multiplicity 4)
O 0.0328 0.5000 0.7733 (multiplicity 4)
O 0.1928 0.3196 0.1443 (multiplicity 8)
O 0.2173 0.5000 0.5179 (multiplicity 4)


Record 8
Computed powder X-ray diffraction pattern of ZrTlAsClO for Cu Ka, from a PBE-relaxed structure.
No peak broadening, texture or thermal motion is included.

The 6 most intense peaks (10 to 90 degrees two-theta), by angle:
- 2θ = 13.47°, 6.572 Å, rel. 54
- 2θ = 27.14°, 3.286 Å, rel. 96
- 2θ = 28.06°, 3.179 Å, rel. 72
- 2θ = 30.00°, 2.979 Å, rel. 100
- 2θ = 32.18°, 2.781 Å, rel. 53
- 2θ = 34.46°, 2.603 Å, rel. 50

Crystal structure
a b c (Å): 5.2382 3.6329 6.6139
angles (deg): 90.00 96.45 90.00
Space group Pm (No. 6)
Unique sites:
Zr 0.0000 0.0000 0.0000 (multiplicity 1)
Tl 0.4319 0.5000 0.5376 (multiplicity 1)
As 0.9486 0.0000 0.5974 (multiplicity 1)
Cl 0.5176 0.0000 0.0281 (multiplicity 1)
O 0.0492 0.5000 0.1187 (multiplicity 1)


Record 9
Computed powder X-ray diffraction pattern of ZrTlAsClO for Cu Ka, from a PBE-relaxed structure.
No peak broadening, texture or thermal motion is included.

The 6 most intense peaks (10 to 90 degrees two-theta), by angle:
- 2θ = 21.72°, 4.092 Å, rel. 100
- 2θ = 27.26°, 3.271 Å, rel. 55
- 2θ = 31.65°, 2.827 Å, rel. 99
- 2θ = 31.84°, 2.810 Å, rel. 85
- 2θ = 34.02°, 2.635 Å, rel. 59
- 2θ = 34.60°, 2.592 Å, rel. 49

Crystal structure
a b c (Å): 3.4017 5.6205 6.1969
angles (deg): 90.00 105.63 90.00
Space group Pm (No. 6)
Unique sites:
Zr 0.0000 0.0000 0.0000 (multiplicity 1)
Tl 0.2930 0.5000 0.5855 (multiplicity 1)
As 0.0171 0.5000 0.0363 (multiplicity 1)
Cl 0.6698 0.0000 0.3440 (multiplicity 1)
O 0.4129 0.0000 0.8226 (multiplicity 1)


Record 10
Computed powder X-ray diffraction pattern of As2OsCl for Cu Ka, from a PBE-relaxed structure.
No peak broadening, texture or thermal motion is included.

The 6 most intense peaks (10 to 90 degrees two-theta), by angle:
- 2θ = 10.83°, 8.171 Å, rel. 100
- 2θ = 28.84°, 3.095 Å, rel. 18
- 2θ = 32.83°, 2.728 Å, rel. 22
- 2θ = 33.21°, 2.698 Å, rel. 19
- 2θ = 40.05°, 2.251 Å, rel. 29
- 2θ = 42.33°, 2.135 Å, rel. 35

Crystal structure
a b c (Å): 3.1052 3.1525 16.3419
angles (deg): 90.00 90.00 90.00
Space group Imm2 (No. 44)
Unique sites:
As 0.0000 0.0000 0.0000 (multiplicity 2)
As 0.0000 0.5000 0.2014 (multiplicity 2)
Os 0.0000 0.0000 0.5827 (multiplicity 2)
Cl 0.0000 0.5000 0.8119 (multiplicity 2)


Record 11
Computed powder X-ray diffraction pattern of Pm6As3P2Cl for Cu Ka, from a PBE-relaxed structure.
No peak broadening, texture or thermal motion is included.

The 6 most intense peaks (10 to 90 degrees two-theta), by angle:
- 2θ = 26.11°, 3.413 Å, rel. 29
- 2θ = 30.19°, 2.960 Å, rel. 100
- 2θ = 43.12°, 2.098 Å, rel. 36
- 2θ = 43.33°, 2.088 Å, rel. 37
- 2θ = 53.71°, 1.706 Å, rel. 19
- 2θ = 71.08°, 1.326 Å, rel. 15

Crystal structure
a b c (Å): 18.2079 4.1805 8.3905
angles (deg): 90.00 102.91 90.00
Space group C2/m (No. 12)
Unique sites:
Pm 0.0033 0.0000 0.2669 (multiplicity 4)
Pm 0.1690 0.5000 0.5790 (multiplicity 4)
Pm 0.1728 0.5000 0.0939 (multiplicity 4)
As 0.0000 0.5000 0.5000 (multiplicity 2)
As 0.1632 0.0000 0.8354 (multiplicity 4)
P 0.1660 0.0000 0.3310 (multiplicity 4)
Cl 0.0000 0.5000 0.0000 (multiplicity 2)


Record 12
Computed powder X-ray diffraction pattern of AsPRuCl2 for Cu Ka, from a PBE-relaxed structure.
No peak broadening, texture or thermal motion is included.

The 6 most intense peaks (10 to 90 degrees two-theta), by angle:
- 2θ = 26.66°, 3.343 Å, rel. 44
- 2θ = 26.97°, 3.306 Å, rel. 100
- 2θ = 38.07°, 2.364 Å, rel. 70
- 2θ = 38.95°, 2.312 Å, rel. 33
- 2θ = 47.27°, 1.923 Å, rel. 43
- 2θ = 55.60°, 1.653 Å, rel. 44

Crystal structure
a b c (Å): 4.7280 4.7280 4.6245
angles (deg): 90.00 90.00 90.00
Space group P4/mmm (No. 123)
Unique sites:
As 0.0000 0.0000 0.0000 (multiplicity 1)
P 0.5000 0.5000 0.0000 (multiplicity 1)
Ru 0.5000 0.5000 0.5000 (multiplicity 1)
Cl 0.0000 0.5000 0.5000 (multiplicity 2)